For Pr3CuSiSe7, the GGA-PBE geometry in the Materials Project gives the theoretical PXRD pattern in this record (a wavelength of 1.5418 Å).

Largest 10 diffraction maxima, low angle first, 2θ = 10–80°:
24.09°, intensity 46, (2 0 1); 29.36°, intensity 73, (1 2 1); 30.82°, intensity 81, (1 0 2); 32.44°, intensity 67, (3 0 1); 33.45°, intensity 69, (2 2 0); 34.86°, intensity 100, (1 3 0); 35.18°, intensity 45, (2 0 2); 37.94°, intensity 66, (3 1 1); 39.11°, intensity 69, (1 2 2); 45.04°, intensity 43, (2 2 2)

Cell and atoms:
```
data_Pr3CuSiSe7
_cell_length_a 10.7151
_cell_length_b 10.7151
_cell_length_c 6.1088
_cell_angle_alpha 90.00
_cell_angle_beta 90.00
_cell_angle_gamma 120.00
_space_group_name_H-M_alt 'P 63'
_space_group_IT_number 173
loop_
_space_group_symop_operation_xyz
'x,y,z'
'x-y,x,z+1/2'
'-y,x-y,z'
'-x,-y,z+1/2'
'-x+y,-x,z'
'y,-x+y,z+1/2'
loop_
_atom_site_label
_atom_site_fract_x
_atom_site_fract_y
_atom_site_fract_z
Pr1 0.1264 0.3553 0.0000
Cu1 0.0000 0.0000 0.4733
Si1 0.3333 0.6667 0.5862
Se1 0.0900 0.2542 0.4864
Se2 0.1075 0.5851 0.7345
Se3 0.3333 0.6667 0.2147
```